# 1
Diffraction record for AcTb2Ag3. The X-ray powder pattern is simulated, not measured: it uses a DFT-relaxed cell (GGA-PBE, Alexandria) and CuKα.

Structural model:
Cell lengths 3.7412, 3.7412, 11.3124 Å; angles 90.00, 90.00, 90.00 degrees
Fractional positions:
Ac1 0.0000 0.0000 0.0000
Tb1 0.0000 0.0000 0.3421
Tb2 0.0000 0.0000 0.6579
Ag1 0.5000 0.5000 0.1947
Ag2 0.5000 0.5000 0.5000
Ag3 0.5000 0.5000 0.8053

Principal peaks in the range 5° ≤ 2θ ≤ 70°, by angle:
| d_spacing | 2θ/deg | I_rel |
| --- | --- | --- |
| 3.771 | 23.59 | 42 |
| 3.741 | 23.78 | 64 |
| 3.120 | 28.61 | 52 |
| 2.656 | 33.75 | 1000 |
| 2.645 | 33.89 | 537 |
| 2.166 | 41.71 | 41 |
| 1.885 | 48.27 | 71 |
| 1.871 | 48.68 | 192 |
| 1.535 | 60.28 | 146 |
| 1.529 | 60.54 | 366 |

# 2
Diffraction record for Ac3Sm4Pd4. The X-ray powder pattern is simulated, not measured: it uses a DFT-relaxed cell (GGA-PBE, Alexandria) and CuKα.

Structural model:
Cell lengths 9.3896, 9.3896, 9.3896 Å; angles 149.77, 129.94, 59.60 degrees
Fractional positions:
Ac1 0.0000 0.0000 0.0000
Ac2 0.3946 0.8946 0.5000
Ac3 0.6054 0.1054 0.5000
Sm1 0.0402 0.3258 0.7144
Sm2 0.3886 0.6742 0.7144
Sm3 0.6114 0.3258 0.2856
Sm4 0.9598 0.6742 0.2856
Pd1 0.2079 0.2079 0.0000
Pd2 0.3131 0.5000 0.8131
Pd3 0.6869 0.5000 0.1869
Pd4 0.7921 0.7921 0.0000

Principal peaks in the range 5° ≤ 2θ ≤ 70°, by angle:
| d_spacing | 2θ/deg | I_rel |
| --- | --- | --- |
| 3.031 | 29.47 | 1000 |
| 3.015 | 29.63 | 357 |
| 2.914 | 30.68 | 608 |
| 2.714 | 33.00 | 234 |
| 2.683 | 33.40 | 168 |
| 2.449 | 36.70 | 383 |
| 2.381 | 37.79 | 163 |
| 2.241 | 40.25 | 324 |
| 1.901 | 47.85 | 194 |
| 1.504 | 61.69 | 125 |